For Cs2Na9Hg6, a DFT-relaxed cell (PBE, Alexandria) gives the simulated powder diffractogram in this record (a wavelength of 1.5418 Å).
Lines closer than 0.1° are merged.

```
data_Cs2Na9Hg6
_space_group_name_H-M_alt 'P 6/m m m'
_space_group_IT_number 191
_space_group_name_Hall '-P 6 2'
_cell_length_a 7.3364
_cell_length_b 7.3364
_cell_length_c 14.1357
_cell_angle_alpha 90.00
_cell_angle_beta 90.00
_cell_angle_gamma 120.00
loop_
_atom_site_label
_atom_site_type_symbol
_atom_site_fract_x
_atom_site_fract_y
_atom_site_fract_z
Cs1 Cs 0.0000 0.0000 0.1806
Na1 Na 0.0000 0.5000 0.0000
Na2 Na 0.0000 0.5000 0.3377
Hg1 Hg 0.3333 0.6667 0.1700
Hg2 Hg 0.3333 0.6667 0.5000
```

Top 10 peaks for 10° ≤ 2θ ≤ 80°, by intensity:
d 2.895, 2θ = 30.89°, intensity 100, hkl 1 1 3
d 3.668, 2θ = 24.26°, intensity 75, hkl 1 1 0
d 4.713, 2θ = 18.83°, intensity 38, hkl 0 0 3
d 1.932, 2θ = 47.04°, intensity 31, hkl 3 0 3
d 1.982, 2θ = 45.77°, intensity 27, hkl 1 1 6
d 6.354, 2θ = 13.94°, intensity 23, hkl 1 0 0
d 1.330, 2θ = 70.85°, intensity 19, hkl 4 1 3
d 2.118, 2θ = 42.69°, intensity 17, hkl 3 0 0
d 1.834, 2θ = 49.71°, intensity 16, hkl 2 2 0
d 1.709, 2θ = 53.62°, intensity 15, hkl 2 2 3